Starting from a crystal structure in the Materials Project, relaxed with PBE, the powder X-ray diffraction pattern of Ca2MnN3 was computed for Cu Ka.
Neutral-atom scattering factors, no anomalous dispersion.

Cell and atoms:
Cell lengths 5.9150, 5.9150, 11.6254 Å; angles 90.00, 90.00, 125.06 degrees
Fractional coordinates of all 24 atoms:
Ca1 0.0513 0.9487 0.8556
Ca2 0.1394 0.8606 0.4230
Ca3 0.3606 0.6394 0.9230
Ca4 0.4487 0.5513 0.3556
Ca5 0.5513 0.4487 0.6444
Ca6 0.6394 0.3606 0.0770
Ca7 0.8606 0.1394 0.5770
Ca8 0.9487 0.0513 0.1444
Mn1 0.2459 0.7541 0.6609
Mn2 0.2541 0.7459 0.1609
Mn3 0.7459 0.2541 0.8391
Mn4 0.7541 0.2459 0.3391
N1 0.0364 0.4636 0.7500
N2 0.0795 0.9205 0.6344
N3 0.1566 0.8434 0.0387
N4 0.3434 0.6566 0.5387
N5 0.4205 0.5795 0.1344
N6 0.4636 0.0364 0.2500
N7 0.5364 0.9636 0.7500
N8 0.5795 0.4205 0.8656
N9 0.6566 0.3434 0.4613
N10 0.8434 0.1566 0.9613
N11 0.9205 0.0795 0.3656
N12 0.9636 0.5364 0.2500

Largest 6 diffraction maxima, sorted by position, 10 to 90 degrees two-theta:
- 16.89 deg, I = 333
- 30.76 deg, I = 275
- 32.82 deg, I = 878
- 34.13 deg, I = 1000
- 36.04 deg, I = 409
- 45.60 deg, I = 299